Cd4HgF8: theoretical PXRD pattern (Cu Ka), based on a crystal structure in Alexandria, relaxed with PBE.
Neutral-atom scattering factors, no anomalous dispersion.

Crystal structure
Unit cell a=7.2064 b=7.2064 c=7.2064 alpha=60.00 beta=60.00 gamma=60.00
Sites, in units of the cell vectors:
Cd1 0.1240 0.1240 0.1240
Cd2 0.1240 0.1240 0.6279
Cd3 0.1240 0.6279 0.1240
Cd4 0.6279 0.1240 0.1240
Hg1 0.5000 0.5000 0.5000
F1 0.2994 0.9002 0.9002
F2 0.3468 0.3468 0.3468
F3 0.3468 0.3468 0.9596
F4 0.3468 0.9596 0.3468
F5 0.9002 0.2994 0.9002
F6 0.9002 0.9002 0.2994
F7 0.9002 0.9002 0.9002
F8 0.9596 0.3468 0.3468

Most intense lines, 10° ≤ 2θ ≤ 90°, by angle:
2theta, d_spacing, I_rel
15.1, 5.884, 396
17.4, 5.096, 232
24.7, 3.603, 240
29.1, 3.073, 1000
30.4, 2.942, 292
46.3, 1.961, 475
50.7, 1.802, 400
71.0, 1.327, 217